Simulated powder X-ray diffraction pattern
Compound: Li4FeSi2O7
Radiation: Cu Kα
Structure: DFT lattice parameters and positions (PBE+U)
Lines closer than 0.1° are merged.

Top 10 peaks for 2θ = 15–90°, sorted by position:
- 4.724 Å, 18.78 deg, I = 74, hkl 2 0 0
- 3.637 Å, 24.47 deg, I = 86, hkl 1 1 -1
- 3.572 Å, 24.93 deg, I = 45, hkl 2 0 1
- 2.714 Å, 33.01 deg, I = 22, hkl 1 1 -2
- 2.551 Å, 35.17 deg, I = 94, hkl 3 1 -1
- 2.508 Å, 35.80 deg, I = 100, hkl 1 1 2
- 1.920 Å, 47.36 deg, I = 14, hkl 3 1 2
- 1.580 Å, 58.42 deg, I = 31, hkl 2 2 -3
- 1.549 Å, 59.71 deg, I = 30, hkl 4 2 1
- 1.540 Å, 60.09 deg, I = 15, hkl 6 0 -2

Cell and atoms:
Cell lengths 9.614, 4.557, 6.859 Å; angles 90.00, 100.62, 90.00 degrees
Space group C2 (No. 5)
Symmetry-distinct sites (fractional):
Li1 0.149 0.000 0.437 [4 per cell]
Li2 0.212 0.489 0.147 [4 per cell]
Fe1 0.000 0.983 0.000 [2 per cell]
Si1 0.076 0.473 0.709 [4 per cell]
O1 0.000 0.665 0.500 [2 per cell]
O2 0.051 0.270 0.229 [4 per cell]
O3 0.133 0.711 0.886 [4 per cell]
O4 0.205 0.277 0.656 [4 per cell]